(1)
Simulated X-ray powder pattern
Compound: Er4AlSi3
Radiation: Cu Kα, 1.54184 Å
Structure: a structure optimized by DFT (PBE)

Structural model:
abc: 3.654 3.654 12.921
angles: 90.00 90.00 90.00
Fractional coordinates of all 8 atoms:
1 Er 0.000 0.000 0.124
2 Er 0.000 0.000 0.367
3 Er 0.000 0.000 0.633
4 Er 0.000 0.000 0.876
5 Al 0.500 0.500 0.500
6 Si 0.500 0.500 0.000
7 Si 0.500 0.500 0.252
8 Si 0.500 0.500 0.748

Peak list (6 most intense, 2θ from 5° to 70°, sorted by position)
2θ (°), d/Å, I/Imax
24.36, 3.654, 74.5
27.62, 3.230, 26.8
34.72, 2.584, 61.5
37.15, 2.420, 100.0
44.92, 2.018, 29.6
63.83, 1.458, 41.2


(2)
Simulated X-ray powder pattern
Compound: AlTl3Co
Radiation: Cu Kα, 1.54184 Å
Structure: a structure optimized by DFT (PBE)

Structural model:
abc: 5.070 5.070 5.070
angles: 90.00 90.00 90.00
Fractional coordinates of all 5 atoms:
1 Al 0.000 0.000 0.000
2 Tl 0.000 0.500 0.500
3 Tl 0.500 0.000 0.500
4 Tl 0.500 0.500 0.000
5 Co 0.500 0.500 0.500

Peak list (6 most intense, 2θ from 5° to 70°, sorted by position)
2θ (°), d/Å, I/Imax
17.49, 5.070, 49.8
30.54, 2.927, 100.0
35.41, 2.535, 76.1
39.76, 2.267, 25.9
50.95, 1.792, 54.6
60.58, 1.529, 44.8


(3)
Simulated X-ray powder pattern
Compound: Zn9Pd11Au4
Radiation: Cu Kα, 1.54184 Å
Structure: a structure optimized by DFT (PBE)

Structural model:
abc: 11.377 11.377 2.898
angles: 90.00 90.00 101.82
Fractional coordinates of all 24 atoms:
1 Zn 0.000 0.000 0.000
2 Zn 0.104 0.650 0.000
3 Zn 0.302 0.491 0.000
4 Zn 0.350 0.896 0.000
5 Zn 0.491 0.302 0.000
6 Zn 0.509 0.698 0.000
7 Zn 0.650 0.104 0.000
8 Zn 0.698 0.509 0.000
9 Zn 0.896 0.350 0.000
10 Pd 0.107 0.457 0.500
11 Pd 0.141 0.859 0.500
12 Pd 0.298 0.298 0.500
13 Pd 0.309 0.691 0.500
14 Pd 0.457 0.107 0.500
15 Pd 0.500 0.500 0.500
16 Pd 0.543 0.893 0.500
17 Pd 0.691 0.309 0.500
18 Pd 0.702 0.702 0.500
19 Pd 0.859 0.141 0.500
20 Pd 0.893 0.543 0.500
21 Au 0.076 0.237 0.000
22 Au 0.237 0.076 0.000
23 Au 0.763 0.924 0.000
24 Au 0.924 0.763 0.000

Peak list (6 most intense, 2θ from 5° to 70°, sorted by position)
2θ (°), d/Å, I/Imax
36.61, 2.455, 41.9
39.61, 2.275, 84.9
39.99, 2.254, 100.0
40.46, 2.229, 91.4
43.84, 2.065, 95.1
44.72, 2.027, 37.9


(4)
Simulated X-ray powder pattern
Compound: HoPaGa2O8
Radiation: Cu Kα, 1.54184 Å
Structure: a structure optimized by DFT (PBE)

Structural model:
abc: 5.989 5.989 5.989
angles: 108.37 108.37 111.69
Fractional coordinates of all 12 atoms:
1 Ho 0.000 0.000 0.000
2 Pa 0.750 0.250 0.500
3 Ga 0.250 0.750 0.500
4 Ga 0.500 0.500 0.000
5 O 0.054 0.370 0.316
6 O 0.054 0.738 0.684
7 O 0.118 0.311 0.808
8 O 0.262 0.946 0.316
9 O 0.503 0.311 0.192
10 O 0.630 0.946 0.684
11 O 0.689 0.497 0.808
12 O 0.689 0.882 0.192

Peak list (6 most intense, 2θ from 5° to 70°, sorted by position)
2θ (°), d/Å, I/Imax
18.28, 4.853, 45.2
25.42, 3.505, 100.0
32.17, 2.783, 87.6
36.25, 2.478, 25.1
49.24, 1.851, 68.1
62.65, 1.483, 19.4


(5)
Simulated X-ray powder pattern
Compound: Pm4Cu2Os
Radiation: Cu Kα, 1.54184 Å
Structure: a structure optimized by DFT (PBE)

Structural model:
abc: 8.655 8.655 8.655
angles: 33.55 33.55 33.55
Fractional coordinates of all 7 atoms:
1 Pm 0.121 0.121 0.121
2 Pm 0.373 0.373 0.373
3 Pm 0.627 0.627 0.627
4 Pm 0.879 0.879 0.879
5 Cu 0.248 0.248 0.248
6 Cu 0.752 0.752 0.752
7 Os 0.000 0.000 0.000

Peak list (6 most intense, 2θ from 5° to 70°, sorted by position)
2θ (°), d/Å, I/Imax
10.84, 8.160, 13.8
20.85, 4.260, 9.0
25.21, 3.533, 10.4
35.95, 2.498, 100.0
51.75, 1.766, 17.5
64.62, 1.442, 35.3


(6)
Simulated X-ray powder pattern
Compound: Ac2Ag3Rh
Radiation: Cu Kα, 1.54184 Å
Structure: a structure optimized by DFT (PBE)

Structural model:
abc: 12.117 9.835 9.385
angles: 78.12 52.59 49.29
Fractional coordinates of all 24 atoms:
1 Ac 0.005 0.745 0.005
2 Ac 0.237 0.513 0.237
3 Ac 0.255 0.995 0.255
4 Ac 0.487 0.763 0.487
5 Ac 0.513 0.237 0.513
6 Ac 0.745 0.005 0.745
7 Ac 0.763 0.487 0.763
8 Ac 0.995 0.255 0.995
9 Ag 0.025 0.025 0.725
10 Ag 0.078 0.510 0.674
11 Ag 0.238 0.674 0.510
12 Ag 0.275 0.275 0.975
13 Ag 0.326 0.762 0.922
14 Ag 0.490 0.922 0.762
15 Ag 0.510 0.078 0.238
16 Ag 0.674 0.238 0.078
17 Ag 0.725 0.725 0.025
18 Ag 0.762 0.326 0.490
19 Ag 0.922 0.490 0.326
20 Ag 0.975 0.975 0.275
21 Rh 0.179 0.179 0.571
22 Rh 0.429 0.429 0.821
23 Rh 0.571 0.571 0.179
24 Rh 0.821 0.821 0.429

Peak list (6 most intense, 2θ from 5° to 70°, sorted by position)
2θ (°), d/Å, I/Imax
29.54, 3.024, 49.0
31.42, 2.847, 100.0
36.89, 2.437, 46.9
43.55, 2.078, 18.4
51.70, 1.768, 18.6
58.36, 1.581, 21.5


(7)
Simulated X-ray powder pattern
Compound: ErFe2Co2B
Radiation: Cu Kα, 1.54184 Å
Structure: a structure optimized by DFT (PBE)

Structural model:
abc: 4.974 4.974 6.944
angles: 90.00 90.00 119.10
Fractional coordinates of all 12 atoms:
1 Er 0.000 0.000 0.000
2 Er 0.000 0.000 0.494
3 Fe 0.000 0.500 0.714
4 Fe 0.500 0.000 0.714
5 Fe 0.500 0.500 0.281
6 Fe 0.500 0.500 0.712
7 Co 0.000 0.500 0.287
8 Co 0.337 0.663 0.999
9 Co 0.500 0.000 0.287
10 Co 0.663 0.337 0.999
11 B 0.330 0.670 0.496
12 B 0.670 0.330 0.496

Peak list (6 most intense, 2θ from 5° to 70°, sorted by position)
2θ (°), d/Å, I/Imax
33.02, 2.713, 95.0
33.20, 2.698, 49.1
36.12, 2.486, 34.7
41.56, 2.173, 73.5
44.41, 2.040, 57.2
44.83, 2.022, 100.0


(8)
Simulated X-ray powder pattern
Compound: CsSn4S8
Radiation: Cu Kα, 1.54184 Å
Structure: a structure optimized by DFT (PBE)

Structural model:
abc: 9.852 9.852 9.852
angles: 44.62 44.62 44.62
Fractional coordinates of all 13 atoms:
1 Cs 0.000 0.000 0.000
2 Sn 0.000 0.000 0.500
3 Sn 0.000 0.500 0.000
4 Sn 0.500 0.000 0.000
5 Sn 0.500 0.500 0.500
6 S 0.220 0.724 0.724
7 S 0.223 0.223 0.223
8 S 0.276 0.276 0.780
9 S 0.276 0.780 0.276
10 S 0.724 0.220 0.724
11 S 0.724 0.724 0.220
12 S 0.777 0.777 0.777
13 S 0.780 0.276 0.276

Peak list (6 most intense, 2θ from 5° to 70°, sorted by position)
2θ (°), d/Å, I/Imax
9.99, 8.855, 100.0
20.05, 4.428, 18.5
30.71, 2.911, 60.9
36.47, 2.464, 21.6
38.84, 2.319, 22.8
48.69, 1.870, 18.8